1.
This entry pairs a crystal structure of Ba2EuCrO6 with its calculated X-ray powder pattern. Radiation: Cu Kα X-rays. Structure: a PBE+U-relaxed structure.
Lines closer than 0.1° are merged.

Peak list (10 most intense, 2θ from 10° to 80°, in order of rising 2θ)
2θ 18.3, I = 7, (1 1 1)
2θ 30.1, I = 100, (2 2 0)
2θ 35.5, I = 7, (3 1 1)
2θ 37.1, I = 4, (2 2 2)
2θ 43.1, I = 30, (4 0 0)
2θ 47.2, I = 4, (3 3 1)
2θ 53.5, I = 39, (4 2 2)
2θ 62.6, I = 18, (4 4 0)
2θ 71.1, I = 18, (6 2 0)
2θ 79.1, I = 6, (4 4 4)

Structure:
Cell lengths 8.3889, 8.3889, 8.3889 Å; angles 90.00, 90.00, 90.00 degrees
Space group Fm-3m (No. 225)
Unique sites:
Ba (0.2500, 0.2500, 0.2500)
Eu (0.0000, 0.0000, 0.0000)
Cr (0.0000, 0.0000, 0.5000)
O (0.0000, 0.0000, 0.2729)

=====

2.
This entry pairs a crystal structure of BaEuCr4O12 with its calculated X-ray powder pattern. Radiation: Cu Kα X-rays. Structure: a PBE+U-relaxed structure.
Lines closer than 0.1° are merged.

Peak list (10 most intense, 2θ from 10° to 80°, in order of rising 2θ)
2θ 18.4, I = 100, (1 0 1)
2θ 30.1, I = 35, (2 0 0)
2θ 30.4, I = 69, (1 1 2)
2θ 35.5, I = 39, (2 1 1)
2θ 36.0, I = 19, (1 0 3)
2θ 43.1, I = 32, (2 2 0)
2θ 43.9, I = 15, (0 0 4)
2θ 47.6, I = 17, (2 1 3)
2θ 53.7, I = 27, (3 1 2)
2θ 63.2, I = 18, (2 2 4)

Structure:
Cell lengths 5.9311, 5.9311, 8.2579 Å; angles 90.00, 90.00, 90.00 degrees
Space group P4/mmm (No. 123)
Unique sites:
Ba (0.0000, 0.0000, 0.0000)
Eu (0.5000, 0.5000, 0.5000)
Cr (0.0000, 0.5000, 0.2506)
O (0.0000, 0.5000, 0.0000)
O (0.0000, 0.5000, 0.5000)
O (0.2546, 0.2546, 0.2551)

=====

3.
This entry pairs a crystal structure of Ba2EuCrO6 with its calculated X-ray powder pattern. Radiation: Cu Kα X-rays. Structure: a PBE+U-relaxed structure.
Lines closer than 0.1° are merged.

Peak list (10 most intense, 2θ from 10° to 80°, in order of rising 2θ)
2θ 18.2, I = 7, (1 1 1)
2θ 30.0, I = 100, (2 2 0)
2θ 35.3, I = 7, (3 1 1)
2θ 37.0, I = 4, (2 2 2)
2θ 42.9, I = 30, (4 0 0)
2θ 47.0, I = 4, (3 3 1)
2θ 53.3, I = 39, (4 2 2)
2θ 62.4, I = 18, (4 4 0)
2θ 70.7, I = 18, (6 0 2)
2θ 78.7, I = 6, (4 4 4)

Structure:
Cell lengths 8.4238, 8.4238, 8.4238 Å; angles 90.00, 90.00, 90.00 degrees
Space group Pn-3 (No. 201, origin choice 2)
Unique sites:
Ba (0.2500, 0.2500, 0.2500)
Ba (0.2500, 0.2500, 0.7500)
Eu (0.0000, 0.0000, 0.0000)
Cr (0.0000, 0.0000, 0.5000)
O (0.0097, 0.2283, 0.5115)

=====

4.
This entry pairs a crystal structure of BaEuCrSnO6 with its calculated X-ray powder pattern. Radiation: Cu Kα X-rays. Structure: a PBE+U-relaxed structure.
Lines closer than 0.1° are merged.

Peak list (10 most intense, 2θ from 10° to 80°, in order of rising 2θ)
2θ 18.9, I = 5, (1 1 1)
2θ 21.8, I = 3, (2 0 0)
2θ 31.1, I = 100, (2 2 0)
2θ 36.6, I = 4, (3 1 1)
2θ 38.3, I = 9, (2 2 2)
2θ 44.5, I = 31, (4 0 0)
2θ 55.3, I = 40, (4 2 2)
2θ 64.8, I = 19, (4 4 0)
2θ 73.6, I = 18, (6 2 0)
2θ 77.9, I = 3, (6 2 2)

Structure:
Cell lengths 8.1354, 8.1354, 8.1354 Å; angles 90.00, 90.00, 90.00 degrees
Space group F-43m (No. 216)
Unique sites:
Ba (0.0000, 0.0000, 0.0000)
Eu (0.0000, 0.0000, 0.5000)
Cr (0.2500, 0.2500, 0.7500)
Sn (0.2500, 0.2500, 0.2500)
O (0.0045, 0.2500, 0.7500)

=====

5.
This entry pairs a crystal structure of BaEuYCrO6 with its calculated X-ray powder pattern. Radiation: Cu Kα X-rays. Structure: a PBE+U-relaxed structure.
Lines closer than 0.1° are merged.

Peak list (10 most intense, 2θ from 10° to 80°, in order of rising 2θ)
2θ 21.5, I = 7, (2 0 0)
2θ 30.6, I = 100, (2 2 0)
2θ 37.7, I = 13, (2 2 2)
2θ 43.9, I = 31, (4 0 0)
2θ 49.4, I = 4, (4 2 0)
2θ 54.4, I = 39, (4 2 2)
2θ 63.8, I = 19, (4 4 0)
2θ 68.1, I = 3, (4 4 2)
2θ 72.4, I = 17, (6 2 0)
2θ 76.5, I = 4, (6 2 2)

Structure:
Cell lengths 8.2563, 8.2563, 8.2563 Å; angles 90.00, 90.00, 90.00 degrees
Space group F-43m (No. 216)
Unique sites:
Ba (0.0000, 0.0000, 0.0000)
Eu (0.0000, 0.0000, 0.5000)
Y (0.2500, 0.2500, 0.2500)
Cr (0.2500, 0.2500, 0.7500)
O (0.0175, 0.2500, 0.7500)

=====

6.
This entry pairs a crystal structure of Ba3CrF12 with its calculated X-ray powder pattern. Radiation: Cu Kα X-rays. Structure: a PBE+U-relaxed structure.
Lines closer than 0.1° are merged.

Peak list (10 most intense, 2θ from 10° to 80°, in order of rising 2θ)
2θ 13.1, I = 100, (0 0 1)
2θ 18.1, I = 61, (0 2 1)
2θ 21.9, I = 19, (1 3 0)
2θ 24.8, I = 17, (0 4 0)
2θ 26.3, I = 33, (2 2 0)
2θ 30.1, I = 15, (2 0 1)
2θ 32.1, I = 37, (2 2 -2)
2θ 36.6, I = 25, (0 4 2)
2θ 42.6, I = 15, (2 2 2)
2θ 44.7, I = 14, (2 6 0)

Structure:
Cell lengths 8.0556, 14.3335, 7.0739 Å; angles 90.00, 107.57, 90.00 degrees
Space group C2/m (No. 12)
Unique sites:
Ba (0.0000, 0.0000, 0.0000)
Ba (0.2500, 0.2500, 0.5000)
Cr (0.0000, 0.0000, 0.5000)
F (0.0614, 0.2978, 0.7294)
F (0.1172, 0.0906, 0.6787)
F (0.2111, 0.1022, 0.2737)